# Er2Al5Ir3
Calculated powder diffraction line list, Cu Kα. Input: a PBE-relaxed structure.
Kinematic intensities with the Lorentz-polarization factor, no thermal factor.

The 6 most intense peaks (10° ≤ 2θ ≤ 90°), by intensity:
Position (°2θ), I/Imax
35.6, 100
42.6, 32
25.3, 31
27.0, 26
46.8, 18
38.8, 18

Cell: 12.530 12.530 6.792 Å, 90.00 90.00 160.48°
Element x y z (fractional)
Er  0.023  0.977  0.500
Er  0.324  0.676  0.421
Er  0.676  0.324  0.921
Er  0.977  0.023  0.000
Al  0.099  0.901  0.122
Al  0.206  0.794  0.604
Al  0.213  0.787  0.209
Al  0.373  0.627  0.969
Al  0.445  0.555  0.331
Al  0.555  0.445  0.831
Al  0.627  0.373  0.469
Al  0.787  0.213  0.709
Al  0.794  0.206  0.104
Al  0.901  0.099  0.622
Ir  0.110  0.890  0.746
Ir  0.272  0.728  0.903
Ir  0.453  0.547  0.714
Ir  0.547  0.453  0.214
Ir  0.728  0.272  0.403
Ir  0.890  0.110  0.246